K2ErAgCl6: computed X-ray diffraction stick pattern (a wavelength of 1.5418 Å), based on a PBE-relaxed structure.

The 10 most intense peaks (2θ from 10° to 80°), sorted by position:
16.60 deg, d = 5.339 Å, rel. 100, hkl 2 0 0
23.57 deg, d = 3.775 Å, rel. 99, hkl 2 2 0
33.57 deg, d = 2.669 Å, rel. 80, hkl 4 0 0
37.67 deg, d = 2.388 Å, rel. 51, hkl 4 2 0
41.43 deg, d = 2.180 Å, rel. 45, hkl 4 2 2
48.21 deg, d = 1.888 Å, rel. 53, hkl 4 4 0
51.34 deg, d = 1.780 Å, rel. 26, hkl 6 0 0
54.34 deg, d = 1.688 Å, rel. 20, hkl 6 2 0
60.03 deg, d = 1.541 Å, rel. 18, hkl 4 4 4
65.41 deg, d = 1.427 Å, rel. 23, hkl 6 4 2

Atomic structure:
Cell lengths 10.6779, 10.6779, 10.6779 Å; angles 90.00, 90.00, 90.00 degrees
Space group Fm-3m (No. 225)
Asymmetric unit:
K (0.2500, 0.2500, 0.2500)
Er (0.0000, 0.0000, 0.0000)
Ag (0.0000, 0.0000, 0.5000)
Cl (0.0000, 0.0000, 0.2441)